This entry pairs a crystal structure of NbTc with its calculated powder X-ray diffraction pattern. Radiation: Cu Kα, 1.54184 Å. Structure: a GGA-PBE-relaxed structure.
Lines closer than 0.1° are merged.

Most intense lines, 2θ from 5° to 70°, low angle first:
two_theta	Rel. int.
38.83	27
39.86	100
40.84	23
57.63	25

Cell and atoms:
```
NbTc
1.0
1.5988 -2.3192 0.0000
1.5988 2.3192 0.0000
0.0000 0.0000 4.4193
Nb Tc
1 1
Cartesian
0.0000 0.0000 0.0000 Nb
1.5988 0.0000 2.2096 Tc
```

This entry pairs a crystal structure of TiNbTc2 with its calculated powder X-ray diffraction pattern. Radiation: Cu Kα, 1.54184 Å. Structure: a GGA-PBE-relaxed structure.
Lines closer than 0.1° are merged.

Most intense lines, 2θ from 5° to 70°, low angle first:
two_theta	Rel. int.
24.44	5
28.29	4
40.44	100
47.82	3
50.09	1
58.52	16
64.37	1
66.25	1

Cell and atoms:
```
TiNbTc2
1.0
0.0000 3.1544 3.1544
3.1544 0.0000 3.1544
3.1544 3.1544 0.0000
Ti Nb Tc
1 1 2
Cartesian
0.0000 0.0000 0.0000 Ti
3.1544 3.1544 3.1544 Nb
1.5772 1.5772 1.5772 Tc
4.7316 4.7316 4.7316 Tc
```

This entry pairs a crystal structure of ZrNbTc2 with its calculated powder X-ray diffraction pattern. Radiation: Cu Kα, 1.54184 Å. Structure: a GGA-PBE-relaxed structure.
Lines closer than 0.1° are merged.

Most intense lines, 2θ from 5° to 70°, low angle first:
two_theta	Rel. int.
39.29	100
56.78	17

Cell and atoms:
```
ZrNbTc2
1.0
0.0000 3.2428 3.2428
3.2428 0.0000 3.2428
3.2428 3.2428 0.0000
Zr Nb Tc
1 1 2
Cartesian
0.0000 0.0000 0.0000 Zr
3.2428 3.2428 3.2428 Nb
1.6214 1.6214 1.6214 Tc
4.8642 4.8642 4.8642 Tc
```

This entry pairs a crystal structure of NbTe2 with its calculated powder X-ray diffraction pattern. Radiation: Cu Kα, 1.54184 Å. Structure: a GGA-PBE-relaxed structure.
Lines closer than 0.1° are merged.

Most intense lines, 2θ from 5° to 70°, low angle first:
two_theta	Rel. int.
13.00	24
30.10	44
30.73	20
31.04	100
37.70	15
38.37	30
38.74	14
48.72	26
48.91	14
49.66	16

Cell and atoms:
```
NbTe2
1.0
7.4762 -1.8357 0.0000
7.4762 1.8357 0.0000
-3.4435 0.0000 8.9054
Nb Te
3 6
Cartesian
0.0000 0.0000 0.0000 Nb
2.9653 0.0000 6.3404 Nb
8.5436 0.0000 2.5649 Nb
-0.9842 0.0000 2.7445 Te
3.1037 0.0000 3.4045 Te
1.8572 0.0000 8.8076 Te
9.6517 0.0000 0.0978 Te
8.4052 0.0000 5.5009 Te
12.4931 0.0000 6.1608 Te
```

This entry pairs a crystal structure of NbTe4 with its calculated powder X-ray diffraction pattern. Radiation: Cu Kα, 1.54184 Å. Structure: a GGA-PBE-relaxed structure.
Lines closer than 0.1° are merged.

Most intense lines, 2θ from 5° to 70°, low angle first:
two_theta	Rel. int.
13.39	33
25.57	28
32.04	22
32.90	100
37.50	22
39.99	12
43.26	20
49.93	31
59.10	10
65.62	13

Cell and atoms:
```
NbTe4
1.0
6.6133 0.0000 0.0000
0.0000 6.6133 0.0000
0.0000 0.0000 6.9672
Nb Te
2 8
Cartesian
0.0000 0.0000 1.7418 Nb
0.0000 0.0000 5.2254 Nb
0.9342 2.1372 0.0000 Te
0.9342 4.4761 3.4836 Te
2.1372 0.9342 3.4836 Te
2.1372 5.6791 0.0000 Te
4.4761 0.9342 0.0000 Te
4.4761 5.6791 3.4836 Te
5.6791 2.1372 3.4836 Te
5.6791 4.4761 0.0000 Te
```

This entry pairs a crystal structure of NbTe2 with its calculated powder X-ray diffraction pattern. Radiation: Cu Kα, 1.54184 Å. Structure: a GGA-PBE-relaxed structure.
Lines closer than 0.1° are merged.

Most intense lines, 2θ from 5° to 70°, low angle first:
two_theta	Rel. int.
12.30	20
24.75	12
30.59	100
37.64	49
47.39	27
49.35	27
50.77	8
55.98	7
59.19	15
63.66	13

Cell and atoms:
```
NbTe2
1.0
3.6930 0.0000 0.0000
-1.8465 3.1983 0.0000
0.0000 0.0000 7.1933
Nb Te
1 2
Cartesian
0.0000 0.0000 0.0000 Nb
0.0000 2.1322 1.8411 Te
1.8465 1.0661 5.3522 Te
```

This entry pairs a crystal structure of Nb7Te6 with its calculated powder X-ray diffraction pattern. Radiation: Cu Kα, 1.54184 Å. Structure: a GGA-PBE-relaxed structure.
Lines closer than 0.1° are merged.

Most intense lines, 2θ from 5° to 70°, low angle first:
two_theta	Rel. int.
12.29	29
30.23	32
30.34	35
30.46	62
35.10	97
35.18	100
38.93	57
39.53	60
43.43	68
47.41	48

Cell and atoms:
```
Nb7Te6
1.0
10.2767 0.0000 0.0000
-0.1675 10.9519 0.0000
-0.0330 -4.0092 10.7832
Nb Te
28 24
Cartesian
0.5451 3.2047 2.2026 Nb
0.6001 0.6091 9.4951 Nb
0.6543 1.9221 5.7787 Nb
1.3517 0.3180 1.1107 Nb
1.3866 -2.3400 8.4511 Nb
1.4121 -0.9320 4.6789 Nb
2.4891 1.4522 3.4827 Nb
2.4990 2.7345 0.1180 Nb
2.4968 0.0217 7.2106 Nb
3.5222 2.3758 5.9963 Nb
3.5417 1.0713 9.6438 Nb
4.3701 -0.3417 4.9535 Nb
4.3807 -1.7755 8.6591 Nb
4.4609 0.9264 1.3106 Nb
5.6153 6.0163 9.4726 Nb
5.6955 8.7182 2.1241 Nb
5.7060 7.2844 5.8297 Nb
6.5344 5.8714 1.1395 Nb
6.5540 4.5669 4.7869 Nb
7.5794 6.9210 3.5726 Nb
7.5772 4.2082 10.6652 Nb
7.5871 5.4905 7.3005 Nb
8.6641 7.8747 6.1043 Nb
8.6895 9.2827 2.3321 Nb
8.7244 6.6247 9.6725 Nb
9.4218 5.0206 5.0046 Nb
9.4760 6.3336 1.2881 Nb
9.5311 3.7380 8.5807 Nb
0.1569 7.4569 3.8084 Te
0.2449 8.7604 0.2379 Te
0.2264 6.1285 7.4075 Te
1.8407 2.8504 8.2259 Te
1.8979 4.1758 4.5234 Te
1.9320 5.4590 1.1408 Te
2.9769 6.8431 9.7434 Te
3.0098 8.2610 6.1675 Te
3.0252 9.5702 2.5277 Te
4.6964 6.2337 3.3210 Te
4.7258 3.5703 10.5044 Te
4.7549 4.8862 6.9885 Te
5.3212 2.0565 3.7947 Te
5.3504 3.3724 0.2788 Te
5.3797 0.7090 7.4622 Te
7.0510 -2.6275 8.2555 Te
7.0664 -1.3183 4.6158 Te
7.0993 0.0996 1.0398 Te
8.1442 1.4837 9.6424 Te
8.1782 2.7669 6.2598 Te
8.2354 4.0923 2.5573 Te
9.8497 0.8142 3.3758 Te
9.8313 -1.8177 10.5453 Te
9.9193 -0.5142 6.9749 Te
```

This entry pairs a crystal structure of NbTe4 with its calculated powder X-ray diffraction pattern. Radiation: Cu Kα, 1.54184 Å. Structure: a GGA-PBE-relaxed structure.
Lines closer than 0.1° are merged.

Most intense lines, 2θ from 5° to 70°, low angle first:
two_theta	Rel. int.
13.41	35
25.47	30
31.97	20
32.92	100
37.46	23
39.95	12
43.32	20
49.82	34
59.17	10
65.65	12

Cell and atoms:
```
NbTe4
1.0
9.3408 0.0000 0.0000
0.0000 9.3408 0.0000
0.0000 0.0000 20.9819
Nb Te
12 48
Cartesian
2.3352 2.3352 1.4494 Nb
2.3352 2.3352 5.4986 Nb
2.3352 2.3352 8.7074 Nb
2.3352 2.3352 11.9403 Nb
2.3352 2.3352 15.9895 Nb
2.3352 2.3352 19.1983 Nb
7.0056 7.0056 1.7836 Nb
7.0056 7.0056 4.9924 Nb
7.0056 7.0056 9.0415 Nb
7.0056 7.0056 12.2745 Nb
7.0056 7.0056 15.4833 Nb
7.0056 7.0056 19.5325 Nb
0.0797 1.5610 7.0271 Te
0.0797 3.1094 17.5180 Te
0.1121 1.4920 20.9180 Te
0.1121 3.1784 10.4271 Te
0.3228 1.4427 13.9656 Te
0.3228 3.2277 3.4746 Te
1.4427 0.3228 3.4746 Te
1.4427 4.3476 13.9656 Te
1.4920 0.1121 10.4271 Te
1.4920 4.5583 20.9180 Te
1.5610 0.0797 17.5180 Te
1.5610 4.5907 7.0271 Te
3.1094 0.0797 7.0271 Te
3.1094 4.5907 17.5180 Te
3.1784 0.1121 20.9180 Te
3.1784 4.5583 10.4271 Te
3.2277 0.3228 13.9656 Te
3.2277 4.3476 3.4746 Te
4.3476 1.4427 3.4746 Te
4.3476 3.2277 13.9656 Te
4.5583 1.4920 10.4271 Te
4.5583 3.1784 20.9180 Te
4.5907 1.5610 17.5180 Te
4.5907 3.1094 7.0271 Te
4.7501 6.2314 13.9548 Te
4.7501 7.7798 3.4638 Te
4.7825 6.1624 0.0639 Te
4.7825 7.8488 10.5548 Te
4.9932 6.1131 7.0163 Te
4.9932 7.8981 17.5072 Te
6.1131 4.9932 17.5072 Te
6.1131 9.0180 7.0163 Te
6.1624 4.7825 10.5548 Te
6.1624 9.2287 0.0639 Te
6.2314 4.7501 3.4638 Te
6.2314 9.2611 13.9548 Te
7.7798 4.7501 13.9548 Te
7.7798 9.2611 3.4638 Te
7.8488 4.7825 0.0639 Te
7.8488 9.2287 10.5548 Te
7.8981 4.9932 7.0163 Te
7.8981 9.0180 17.5072 Te
9.0180 6.1131 17.5072 Te
9.0180 7.8981 7.0163 Te
9.2287 6.1624 10.5548 Te
9.2287 7.8488 0.0639 Te
9.2611 6.2314 3.4638 Te
9.2611 7.7798 13.9548 Te
```